1.
The following is a computed PXRD pattern of LaReO5. It was derived from a structure optimized by DFT (GGA-PBE), using Cu Kα (weighted mean of Kα1 and Kα2).
Lines closer than 0.1° are merged.

Atomic structure:
a b c (Å): 5.7080 5.7080 7.7016
angles (deg): 109.72 109.72 71.25
Atoms (fractional coordinates):
La1 0.0529 0.9471 0.7500
La2 0.9471 0.0529 0.2500
Re1 0.5000 0.5000 0.0000
Re2 0.5000 0.5000 0.5000
O1 0.2099 0.7721 0.0333
O2 0.2279 0.7901 0.4667
O3 0.2698 0.2959 0.3894
O4 0.2959 0.2698 0.8894
O5 0.4398 0.5602 0.7500
O6 0.5602 0.4398 0.2500
O7 0.7041 0.7302 0.1106
O8 0.7302 0.7041 0.6106
O9 0.7721 0.2099 0.5333
O10 0.7901 0.2279 0.9667

Top 6 peaks for 10° ≤ 2θ ≤ 90°, sorted by position:
2θ (°)	I_rel
21.05	686
26.77	1000
34.30	669
42.84	176
51.25	316
65.69	153

***

2.
The following is a computed PXRD pattern of LaRh2O6. It was derived from a structure optimized by DFT (GGA-PBE), using Cu Kα (weighted mean of Kα1 and Kα2).
Lines closer than 0.1° are merged.

Atomic structure:
a b c (Å): 5.2656 5.2656 5.1369
angles (deg): 90.00 90.00 120.00
Atoms (fractional coordinates):
La1 0.0000 0.0000 0.0000
Rh1 0.3333 0.6667 0.5000
Rh2 0.6667 0.3333 0.5000
O1 0.0000 0.3685 0.7120
O2 0.0000 0.6315 0.2880
O3 0.3685 0.0000 0.7120
O4 0.3685 0.3685 0.2880
O5 0.6315 0.0000 0.2880
O6 0.6315 0.6315 0.7120

Top 6 peaks for 10° ≤ 2θ ≤ 90°, sorted by position:
2θ (°)	I_rel
26.13	1000
34.05	372
43.42	234
49.58	424
56.30	229
60.95	131

***

3.
The following is a computed PXRD pattern of LaScRhO6. It was derived from a structure optimized by DFT (GGA-PBE), using Cu Kα (weighted mean of Kα1 and Kα2).
Lines closer than 0.1° are merged.

Atomic structure:
a b c (Å): 5.3230 5.3230 5.1940
angles (deg): 90.00 90.00 120.00
Atoms (fractional coordinates):
La1 0.0000 0.0000 0.0000
Sc1 0.6667 0.3333 0.5000
Rh1 0.3333 0.6667 0.5000
O1 0.0205 0.3725 0.2861
O2 0.0205 0.6480 0.7139
O3 0.3520 0.3725 0.7139
O4 0.3520 0.9795 0.2861
O5 0.6275 0.6480 0.2861
O6 0.6275 0.9795 0.7139

Top 6 peaks for 10° ≤ 2θ ≤ 90°, sorted by position:
2θ (°)	I_rel
19.25	123
25.84	1000
33.68	291
42.93	235
49.01	370
55.64	228

***

4.
The following is a computed PXRD pattern of La2TmRhO6. It was derived from a structure optimized by DFT (GGA-PBE), using Cu Kα (weighted mean of Kα1 and Kα2).
Lines closer than 0.1° are merged.

Atomic structure:
a b c (Å): 5.7138 5.9199 9.8881
angles (deg): 90.00 124.26 90.00
Atoms (fractional coordinates):
La1 0.2326 0.0550 0.2492
La2 0.2326 0.4450 0.7492
La3 0.7674 0.5550 0.2508
La4 0.7674 0.9450 0.7508
Tm1 0.5000 0.0000 0.0000
Tm2 0.5000 0.5000 0.5000
Rh1 0.0000 0.0000 0.5000
Rh2 0.0000 0.5000 0.0000
O1 0.1356 0.2067 0.9443
O2 0.1356 0.2933 0.4443
O3 0.2378 0.6978 0.9438
O4 0.2378 0.8022 0.4438
O5 0.3502 0.0391 0.7419
O6 0.3502 0.4609 0.2419
O7 0.6498 0.5391 0.7581
O8 0.6498 0.9609 0.2581
O9 0.7622 0.1978 0.5562
O10 0.7622 0.3022 0.0562
O11 0.8644 0.7067 0.5557
O12 0.8644 0.7933 0.0557

Top 6 peaks for 10° ≤ 2θ ≤ 90°, sorted by position:
2θ (°)	I_rel
30.19	440
30.65	1000
31.06	974
31.32	465
44.06	412
55.82	324